# Pm2PuMnO8
Computed powder diffraction line list, CuKα. Input: DFT lattice parameters and positions (PBE+U).

Largest 6 diffraction maxima, by intensity, 10° ≤ 2θ ≤ 80°:
- hkl 1 1 0, 2θ = 24.36°, d 3.654, rel. 100
- hkl 0 1 -2, 2θ = 31.66°, d 2.826, rel. 77
- hkl 1 -1 0, 2θ = 27.06°, d 3.296, rel. 75
- hkl 0 1 2, 2θ = 28.94°, d 3.086, rel. 73
- hkl 1 0 2, 2θ = 31.23°, d 2.864, rel. 48
- hkl 1 0 -1, 2θ = 22.88°, d 3.887, rel. 46

Cell and atoms:
Unit cell a=4.691 b=5.214 c=7.214 alpha=84.53 beta=88.63 gamma=83.96
Positions (direct):
Pm 0.089 0.012 0.238
Pm 0.911 0.988 0.762
Pu 0.500 0.500 0.500
Mn 0.500 0.500 0.000
O 0.149 0.733 0.525
O 0.211 0.787 0.987
O 0.349 0.368 0.241
O 0.373 0.224 0.671
O 0.627 0.776 0.329
O 0.651 0.632 0.759
O 0.789 0.213 0.013
O 0.851 0.267 0.475